For NaYZrP2SO12, a PBE-relaxed structure gives the theoretical XRD peak list in this record (Cu Ka).
Intensities are scaled so that the largest is 100.

Structure:
```
NaYZrP2SO12
1.0
7.839 -4.515 0.000
7.839 4.515 0.000
-5.166 0.000 7.958
Na Y Zr P S O
2 2 2 4 2 24
Direct
0.242 0.758 0.500
0.758 0.242 0.000
0.089 0.606 0.060
0.606 0.089 0.560
0.394 0.894 0.947
0.894 0.394 0.447
0.002 0.205 0.755
0.205 0.002 0.255
0.701 0.788 0.753
0.788 0.701 0.253
0.288 0.501 0.753
0.501 0.288 0.253
0.030 0.173 0.275
0.034 0.361 0.910
0.131 0.475 0.601
0.173 0.030 0.775
0.178 0.838 0.234
0.242 0.973 0.096
0.262 0.527 0.905
0.307 0.665 0.770
0.347 0.453 0.232
0.361 0.034 0.410
0.453 0.347 0.732
0.475 0.131 0.101
0.527 0.262 0.405
0.530 0.809 0.775
0.622 0.742 0.095
0.665 0.307 0.270
0.670 0.962 0.736
0.742 0.622 0.595
0.760 0.861 0.408
0.809 0.530 0.275
0.838 0.178 0.734
0.861 0.760 0.908
0.962 0.670 0.236
0.973 0.242 0.596
```

Largest 8 diffraction maxima, in order of falling intensity, 2θ = 10–90°:
| d_spacing | I/Imax |
| --- | --- |
| 4.520 | 100 |
| 3.935 | 80 |
| 4.746 | 79 |
| 2.982 | 75 |
| 2.610 | 49 |
| 2.997 | 40 |
| 6.547 | 40 |
| 3.921 | 38 |